Theoretical powder diffraction line list of CrH10SO9 for Cu Kα (λ = 1.5418 Å), from the PBE+U geometry in Alexandria.

The 8 most intense peaks (2θ = 15–90°), most intense first:
18.38 deg, rel. 100, hkl 1 1 1
23.21 deg, rel. 75, hkl 1 0 -2
21.64 deg, rel. 70, hkl 1 0 2
31.55 deg, rel. 66, hkl 0 1 -3
31.08 deg, rel. 49, hkl 1 2 2
26.73 deg, rel. 44, hkl 1 -1 1
15.39 deg, rel. 39, hkl 0 1 0
15.97 deg, rel. 38, hkl 0 1 1

a b c (Å): 6.0819 6.1645 11.2087
angles (deg): 77.10 82.34 72.07
Atoms (fractional coordinates):
Cr 0.0000 0.0000 0.0000
Cr 0.0000 0.5000 0.5000
H 0.0701 0.1961 0.7075
H 0.1169 0.3121 0.1014
H 0.1605 0.6410 0.8713
H 0.2524 0.7885 0.5030
H 0.2630 0.6199 0.6364
H 0.3094 0.8930 0.3043
H 0.3256 0.1630 0.6363
H 0.3388 0.0968 0.3609
H 0.3479 0.1887 0.8694
H 0.4358 0.9053 0.8874
H 0.5642 0.0947 0.1126
H 0.6521 0.8113 0.1306
H 0.6612 0.9032 0.6391
H 0.6744 0.8370 0.3637
H 0.6906 0.1070 0.6957
H 0.7370 0.3801 0.3636
H 0.7476 0.2115 0.4970
H 0.8395 0.3590 0.1287
H 0.8831 0.6879 0.8986
H 0.9299 0.8039 0.2925
S 0.3757 0.5015 0.2163
S 0.6243 0.4985 0.7837
O 0.0191 0.7350 0.9120
O 0.1553 0.2058 0.6263
O 0.1691 0.6928 0.5650
O 0.2096 0.7396 0.1894
O 0.3046 0.0430 0.9014
O 0.3213 0.3842 0.3436
O 0.3649 0.3601 0.1265
O 0.3796 0.9241 0.3707
O 0.3830 0.4741 0.7922
O 0.6170 0.5259 0.2078
O 0.6204 0.0759 0.6293
O 0.6351 0.6399 0.8735
O 0.6787 0.6158 0.6564
O 0.6954 0.9570 0.0986
O 0.7904 0.2604 0.8106
O 0.8309 0.3072 0.4350
O 0.8447 0.7942 0.3737
O 0.9809 0.2650 0.0880